Record 1
For LiMn4P3O12, a cell relaxed with GGA+U gives the calculated powder XRD pattern in this record (λ = 1.5418 Å (Cu Kα)).
Kinematic intensities with the Lorentz-polarization factor, no thermal factor.

Structure:
Unit cell a=7.4607 b=7.7954 c=9.8431 alpha=110.12 beta=110.91 gamma=94.31
Atoms (fractional coordinates):
Li: 0.0328 0.1806 0.3373
Li: 0.9672 0.8194 0.6627
Mn: 0.0355 0.3175 0.7200
Mn: 0.3349 0.9954 0.0867
Mn: 0.3607 0.5957 0.0836
Mn: 0.4470 0.6669 0.4510
Mn: 0.5530 0.3331 0.5490
Mn: 0.6393 0.4043 0.9164
Mn: 0.6651 0.0046 0.9133
Mn: 0.9645 0.6825 0.2800
P: 0.0908 0.3126 0.0887
P: 0.2899 0.0488 0.6013
P: 0.3249 0.6262 0.7474
P: 0.6751 0.3738 0.2526
P: 0.7101 0.9512 0.3987
P: 0.9092 0.6874 0.9113
O: 0.1005 0.5817 0.6642
O: 0.1312 0.0613 0.6682
O: 0.1373 0.7294 0.9925
O: 0.1509 0.1690 0.1626
O: 0.1754 0.3089 0.9654
O: 0.1760 0.5215 0.2185
O: 0.2535 0.8410 0.4857
O: 0.2809 0.1794 0.5106
O: 0.3738 0.4958 0.8432
O: 0.4074 0.8337 0.8703
O: 0.4340 0.5824 0.6340
O: 0.4965 0.8863 0.2619
O: 0.5035 0.1137 0.7381
O: 0.5660 0.4176 0.3660
O: 0.5926 0.1663 0.1297
O: 0.6262 0.5042 0.1568
O: 0.7191 0.8206 0.4894
O: 0.7465 0.1590 0.5143
O: 0.8240 0.4785 0.7815
O: 0.8246 0.6911 0.0346
O: 0.8491 0.8310 0.8374
O: 0.8627 0.2706 0.0075
O: 0.8688 0.9387 0.3318
O: 0.8995 0.4183 0.3358

The 12 most intense peaks (15 to 90 degrees two-theta), low angle first:
2θ = 19.73°, 4.499 Å, I 765, (0 1 -2)
2θ = 20.23°, 4.390 Å, I 563, (1 1 -2)
2θ = 26.19°, 3.403 Å, I 496, (-2 1 1)
2θ = 28.98°, 3.081 Å, I 795, (1 0 -3)
2θ = 29.14°, 3.065 Å, I 1000, (1 0 2)
2θ = 30.10°, 2.969 Å, I 666, (-2 1 2)
2θ = 30.85°, 2.899 Å, I 619, (1 2 0)
2θ = 31.41°, 2.848 Å, I 536, (1 2 -3)
2θ = 31.65°, 2.827 Å, I 902, (2 1 0)
2θ = 32.04°, 2.794 Å, I 681, (2 -2 0)
2θ = 37.24°, 2.415 Å, I 426, (1 -2 3)
2θ = 46.78°, 1.942 Å, I 378, (2 3 -1)



Record 2
For Li3Mn2P4O14, a cell relaxed with GGA+U gives the calculated powder XRD pattern in this record (λ = 1.5418 Å (Cu Kα)).
Kinematic intensities with the Lorentz-polarization factor, no thermal factor.

Structure:
Unit cell a=5.0667 b=6.9954 c=8.3430 alpha=89.68 beta=88.86 gamma=71.83
Atoms (fractional coordinates):
Li: 0.0000 0.0000 0.0000
Li: 0.1074 0.5706 0.6928
Li: 0.6558 0.3217 0.4926
Mn: 0.0578 0.9297 0.3464
Mn: 0.6287 0.3887 0.8652
P: 0.0487 0.5794 0.0726
P: 0.2254 0.1340 0.6626
P: 0.4305 0.1841 0.1777
P: 0.6349 0.7441 0.5528
O: 0.0322 0.1509 0.8072
O: 0.0673 0.1386 0.5045
O: 0.2099 0.5919 0.9160
O: 0.2171 0.0655 0.1789
O: 0.2516 0.4206 0.1938
O: 0.3744 0.2950 0.6586
O: 0.4594 0.7347 0.4117
O: 0.4602 0.9173 0.6775
O: 0.5854 0.1536 0.0163
O: 0.6183 0.1441 0.3222
O: 0.7153 0.5497 0.6541
O: 0.7924 0.5190 0.0452
O: 0.9154 0.7825 0.5168
O: 0.9811 0.7815 0.1634

The 12 most intense peaks (15 to 90 degrees two-theta), low angle first:
2θ = 17.06°, 5.198 Å, I 1000, (0 1 1)
2θ = 21.72°, 4.091 Å, I 240, (1 1 1)
2θ = 22.06°, 4.029 Å, I 195, (1 1 -1)
2θ = 25.21°, 3.533 Å, I 162, (0 1 2)
2θ = 26.02°, 3.424 Å, I 263, (1 -1 0)
2θ = 28.03°, 3.183 Å, I 200, (1 -1 1)
2θ = 28.51°, 3.130 Å, I 364, (1 1 2)
2θ = 29.02°, 3.077 Å, I 317, (1 1 -2)
2θ = 29.63°, 3.015 Å, I 180, (1 2 -1)
2θ = 34.51°, 2.599 Å, I 128, (0 2 2)
2θ = 37.37°, 2.406 Å, I 157, (2 0 0)
2θ = 39.08°, 2.305 Å, I 133, (-1 2 1)



Record 3
For LiMn2P2O8, a cell relaxed with GGA+U gives the calculated powder XRD pattern in this record (λ = 1.5418 Å (Cu Kα)).
Kinematic intensities with the Lorentz-polarization factor, no thermal factor.

Structure:
Unit cell a=8.3554 b=5.0561 c=10.1529 alpha=90.00 beta=123.20 gamma=90.00
Atoms (fractional coordinates):
Li: 0.0000 0.0460 0.0000
Li: 0.0000 0.9540 0.5000
Mn: 0.0276 0.4037 0.7320
Mn: 0.0276 0.5963 0.2320
Mn: 0.5008 0.0333 0.2866
Mn: 0.5008 0.9667 0.7866
P: 0.2587 0.4672 0.6205
P: 0.2587 0.5328 0.1205
P: 0.7724 0.0750 0.1489
P: 0.7724 0.9250 0.6489
O: 0.0951 0.3675 0.1178
O: 0.0951 0.6325 0.6178
O: 0.2217 0.1858 0.6715
O: 0.2217 0.8142 0.1715
O: 0.2246 0.4683 0.4577
O: 0.2246 0.5317 0.9577
O: 0.4547 0.4363 0.2531
O: 0.4547 0.5637 0.7531
O: 0.5830 0.0039 0.1287
O: 0.5830 0.9961 0.6287
O: 0.7674 0.0052 0.4986
O: 0.7674 0.9948 0.9986
O: 0.8155 0.3741 0.1887
O: 0.8155 0.6259 0.6887
O: 0.9457 0.0856 0.7887
O: 0.9457 0.9144 0.2887

The 12 most intense peaks (15 to 90 degrees two-theta), low angle first:
2θ = 20.91°, 4.249 Å, I 764, (0 0 2)
2θ = 21.69°, 4.097 Å, I 1000, (1 1 0)
2θ = 22.40°, 3.968 Å, I 451, (2 0 -2)
2θ = 27.03°, 3.299 Å, I 202, (1 1 1)
2θ = 34.97°, 2.566 Å, I 219, (1 1 2)
2θ = 35.49°, 2.530 Å, I 384, (0 2 0)
2θ = 36.85°, 2.439 Å, I 177, (3 1 -2)
2θ = 38.39°, 2.345 Å, I 144, (3 1 -1)
2θ = 39.82°, 2.264 Å, I 94, (2 1 -4)
2θ = 41.50°, 2.176 Å, I 134, (2 0 2)
2θ = 42.39°, 2.132 Å, I 100, (2 2 -2)
2θ = 52.35°, 1.748 Å, I 77, (4 0 0)